This entry pairs a crystal structure of Mg3Sc2 with its theoretical powder XRD pattern. Radiation: Cu Kα, 1.54184 Å. Structure: DFT lattice parameters and positions (PBE).

Largest 6 diffraction maxima, low angle first, 10 to 80 degrees two-theta:
2θ (°), I/Imax, h k l
32.4, 87.5, 1 2 2
32.5, 100.0, 2 1 1
33.8, 89.8, 1 1 3
36.0, 70.7, 0 2 3
36.1, 83.3, 1 3 0
36.6, 84.7, 2 1 2

Crystal structure
Unit cell a=6.148 b=8.168 c=9.463 alpha=90.00 beta=90.00 gamma=90.00
Sites, in units of the cell vectors:
Mg  0.000  0.145  0.250
Mg  0.000  0.855  0.750
Mg  0.137  0.467  0.126
Mg  0.137  0.533  0.626
Mg  0.363  0.033  0.626
Mg  0.363  0.967  0.126
Mg  0.500  0.355  0.750
Mg  0.500  0.645  0.250
Mg  0.637  0.033  0.874
Mg  0.637  0.967  0.374
Mg  0.863  0.467  0.374
Mg  0.863  0.533  0.874
Sc  0.116  0.184  0.913
Sc  0.116  0.816  0.413
Sc  0.384  0.316  0.413
Sc  0.384  0.684  0.913
Sc  0.616  0.316  0.087
Sc  0.616  0.684  0.587
Sc  0.884  0.184  0.587
Sc  0.884  0.816  0.087